LiCuS: calculated XRD peak list (Cu Kα, 1.54184 Å), based on a cell relaxed with PBE.

Atomic structure:
Lattice parameters (Å, degrees): 7.574 7.574 7.574 95.68 95.68 143.33
Sites, in units of the cell vectors:
Li: 0.000 0.344 0.344
Li: 0.000 0.656 0.656
Li: 0.344 0.000 0.344
Li: 0.656 0.000 0.656
Cu: 0.355 0.355 0.710
Cu: 0.355 0.645 0.000
Cu: 0.645 0.355 0.000
Cu: 0.645 0.645 0.290
S: 0.202 0.500 0.702
S: 0.500 0.202 0.702
S: 0.500 0.798 0.298
S: 0.798 0.500 0.298

Top 10 peaks for 2θ = 15–90°, low angle first:
- 2θ = 20.6°, d = 4.314 Å, rel. 100
- 2θ = 27.1°, d = 3.289 Å, rel. 27
- 2θ = 27.7°, d = 3.215 Å, rel. 15
- 2θ = 32.4°, d = 2.762 Å, rel. 17
- 2θ = 37.5°, d = 2.396 Å, rel. 29
- 2θ = 37.8°, d = 2.382 Å, rel. 21
- 2θ = 41.2°, d = 2.190 Å, rel. 12
- 2θ = 48.7°, d = 1.870 Å, rel. 36
- 2θ = 54.3°, d = 1.689 Å, rel. 19
- 2θ = 67.4°, d = 1.389 Å, rel. 11